Simulated X-ray powder pattern
Compound: HoCo5P3
Radiation: copper Kα
Structure: a GGA-PBE-relaxed structure
Peak positions follow from Bragg's law for the DFT cell and can differ from measured ones.

Most intense lines, 10° ≤ 2θ ≤ 80°, in order of falling intensity:
| Position (°2θ) | intensity |
| --- | --- |
| 39.29 | 100 |
| 39.51 | 69 |
| 50.14 | 34 |
| 40.55 | 26 |
| 54.12 | 23 |
| 27.09 | 20 |
| 38.09 | 19 |
| 30.25 | 15 |
| 76.88 | 15 |
| 35.83 | 14 |

Structure:
```
data_HoCo5P3
_chemical_formula_sum 'Ho4 Co20 P12'
_symmetry_space_group_name_H-M 'P 1'
_symmetry_Int_Tables_number 1
_cell_length_a 11.703
_cell_length_b 3.639
_cell_length_c 10.263
_cell_angle_alpha 90.00
_cell_angle_beta 90.00
_cell_angle_gamma 90.00
loop_
_symmetry_equiv_pos_as_xyz
'x,y,z'
loop_
_atom_site_label
_atom_site_type_symbol
_atom_site_fract_x
_atom_site_fract_y
_atom_site_fract_z
Ho1 Ho 0.203 0.250 0.083
Ho2 Ho 0.297 0.750 0.583
Ho3 Ho 0.703 0.250 0.417
Ho4 Ho 0.797 0.750 0.917
Co1 Co 0.010 0.750 0.716
Co2 Co 0.012 0.750 0.093
Co3 Co 0.068 0.750 0.467
Co4 Co 0.176 0.250 0.779
Co5 Co 0.198 0.250 0.383
Co6 Co 0.302 0.750 0.883
Co7 Co 0.324 0.750 0.279
Co8 Co 0.432 0.250 0.967
Co9 Co 0.488 0.250 0.593
Co10 Co 0.490 0.250 0.216
Co11 Co 0.510 0.750 0.784
Co12 Co 0.512 0.750 0.407
Co13 Co 0.568 0.750 0.033
Co14 Co 0.676 0.250 0.721
Co15 Co 0.698 0.250 0.117
Co16 Co 0.802 0.750 0.617
Co17 Co 0.824 0.750 0.221
Co18 Co 0.932 0.250 0.533
Co19 Co 0.988 0.250 0.907
Co20 Co 0.990 0.250 0.284
P1 P 0.109 0.750 0.898
P2 P 0.112 0.250 0.582
P3 P 0.130 0.750 0.270
P4 P 0.370 0.250 0.770
P5 P 0.388 0.750 0.082
P6 P 0.391 0.250 0.398
P7 P 0.609 0.750 0.602
P8 P 0.612 0.250 0.918
P9 P 0.630 0.750 0.230
P10 P 0.870 0.250 0.730
P11 P 0.888 0.750 0.418
P12 P 0.891 0.250 0.102
```

---

Simulated X-ray powder pattern
Compound: TaCuO3
Radiation: copper Kα
Structure: a GGA-PBE-relaxed structure
Peak positions follow from Bragg's law for the DFT cell and can differ from measured ones.

Most intense lines, 10° ≤ 2θ ≤ 80°, in order of falling intensity:
| Position (°2θ) | intensity |
| --- | --- |
| 27.87 | 100 |
| 19.00 | 45 |
| 32.28 | 44 |
| 33.51 | 44 |
| 32.16 | 33 |
| 13.83 | 33 |
| 12.97 | 28 |
| 37.57 | 20 |
| 51.13 | 19 |
| 32.57 | 18 |

Structure:
```
data_TaCuO3
_chemical_formula_sum 'Ta4 Cu4 O12'
_symmetry_space_group_name_H-M 'P 1'
_symmetry_Int_Tables_number 1
_cell_length_a 6.439
_cell_length_b 6.439
_cell_length_c 6.823
_cell_angle_alpha 90.17
_cell_angle_beta 90.17
_cell_angle_gamma 83.94
loop_
_symmetry_equiv_pos_as_xyz
'x,y,z'
loop_
_atom_site_label
_atom_site_type_symbol
_atom_site_fract_x
_atom_site_fract_y
_atom_site_fract_z
Ta1 Ta 0.200 0.800 0.000
Ta2 Ta 0.253 0.253 0.234
Ta3 Ta 0.747 0.747 0.766
Ta4 Ta 0.800 0.200 0.000
Cu1 Cu 0.157 0.843 0.500
Cu2 Cu 0.223 0.223 0.708
Cu3 Cu 0.777 0.777 0.292
Cu4 Cu 0.843 0.157 0.500
O1 O 0.067 0.738 0.740
O2 O 0.129 0.129 0.945
O3 O 0.210 0.531 0.111
O4 O 0.262 0.933 0.260
O5 O 0.322 0.322 0.483
O6 O 0.469 0.790 0.889
O7 O 0.531 0.210 0.111
O8 O 0.678 0.678 0.517
O9 O 0.738 0.067 0.740
O10 O 0.790 0.469 0.889
O11 O 0.871 0.871 0.055
O12 O 0.933 0.262 0.260
```

---

Simulated X-ray powder pattern
Compound: LiCu6OF11
Radiation: copper Kα
Structure: a GGA-PBE-relaxed structure
Peak positions follow from Bragg's law for the DFT cell and can differ from measured ones.

Most intense lines, 10° ≤ 2θ ≤ 80°, in order of falling intensity:
| Position (°2θ) | intensity |
| --- | --- |
| 25.68 | 100 |
| 26.88 | 86 |
| 31.67 | 61 |
| 33.49 | 40 |
| 33.73 | 29 |
| 35.91 | 22 |
| 52.78 | 22 |
| 57.76 | 18 |
| 49.30 | 18 |
| 52.07 | 18 |

Structure:
```
data_LiCu6OF11
_chemical_formula_sum 'Li1 Cu6 O1 F11'
_symmetry_space_group_name_H-M 'P 1'
_symmetry_Int_Tables_number 1
_cell_length_a 4.855
_cell_length_b 5.408
_cell_length_c 8.515
_cell_angle_alpha 84.77
_cell_angle_beta 87.93
_cell_angle_gamma 88.13
loop_
_symmetry_equiv_pos_as_xyz
'x,y,z'
loop_
_atom_site_label
_atom_site_type_symbol
_atom_site_fract_x
_atom_site_fract_y
_atom_site_fract_z
Li1 Li 0.000 0.000 0.000
Cu1 Cu 0.000 0.623 0.806
Cu2 Cu 0.495 0.847 0.178
Cu3 Cu 0.512 0.142 0.815
Cu4 Cu 0.519 0.500 0.474
Cu5 Cu 0.984 0.387 0.187
Cu6 Cu 0.999 0.999 0.494
O1 O 0.681 0.561 0.266
F1 F 0.174 0.677 0.093
F2 F 0.195 0.285 0.413
F3 F 0.197 0.942 0.780
F4 F 0.290 0.801 0.420
F5 F 0.291 0.160 0.088
F6 F 0.324 0.443 0.719
F7 F 0.703 0.838 0.908
F8 F 0.707 0.196 0.571
F9 F 0.801 0.065 0.214
F10 F 0.809 0.710 0.580
F11 F 0.820 0.320 0.893
```

---

Simulated X-ray powder pattern
Compound: Na3TbBr6
Radiation: copper Kα
Structure: a GGA-PBE-relaxed structure
Peak positions follow from Bragg's law for the DFT cell and can differ from measured ones.

Most intense lines, 10° ≤ 2θ ≤ 80°, in order of falling intensity:
| Position (°2θ) | intensity |
| --- | --- |
| 27.26 | 100 |
| 13.99 | 59 |
| 26.76 | 49 |
| 16.60 | 48 |
| 27.89 | 45 |
| 36.90 | 42 |
| 41.68 | 32 |
| 33.55 | 30 |
| 42.06 | 29 |
| 14.54 | 26 |

Structure:
```
data_Na3TbBr6
_chemical_formula_sum 'Na6 Tb2 Br12'
_symmetry_space_group_name_H-M 'P 1'
_symmetry_Int_Tables_number 1
_cell_length_a 7.382
_cell_length_b 7.740
_cell_length_c 13.169
_cell_angle_alpha 90.00
_cell_angle_beta 123.33
_cell_angle_gamma 90.00
loop_
_symmetry_equiv_pos_as_xyz
'x,y,z'
loop_
_atom_site_label
_atom_site_type_symbol
_atom_site_fract_x
_atom_site_fract_y
_atom_site_fract_z
Na1 Na 0.000 0.000 0.000
Na2 Na 0.000 0.500 0.500
Na3 Na 0.228 0.066 0.742
Na4 Na 0.228 0.434 0.242
Na5 Na 0.772 0.566 0.758
Na6 Na 0.772 0.934 0.258
Tb1 Tb 0.500 0.000 0.500
Tb2 Tb 0.500 0.500 0.000
Br1 Br 0.118 0.178 0.434
Br2 Br 0.118 0.322 0.934
Br3 Br 0.256 0.692 0.421
Br4 Br 0.256 0.808 0.921
Br5 Br 0.399 0.071 0.262
Br6 Br 0.399 0.429 0.762
Br7 Br 0.601 0.571 0.238
Br8 Br 0.601 0.929 0.738
Br9 Br 0.744 0.192 0.079
Br10 Br 0.744 0.308 0.579
Br11 Br 0.882 0.678 0.066
Br12 Br 0.882 0.822 0.566
```

---

Simulated X-ray powder pattern
Compound: NaMgH2C3O7
Radiation: copper Kα
Structure: a GGA-PBE-relaxed structure
Peak positions follow from Bragg's law for the DFT cell and can differ from measured ones.

Most intense lines, 10° ≤ 2θ ≤ 80°, in order of falling intensity:
| Position (°2θ) | intensity |
| --- | --- |
| 24.90 | 100 |
| 18.40 | 43 |
| 16.71 | 38 |
| 31.32 | 30 |
| 27.36 | 30 |
| 20.89 | 25 |
| 19.03 | 24 |
| 32.84 | 21 |
| 35.27 | 21 |
| 47.55 | 21 |

Structure:
```
data_NaMgH2C3O7
_chemical_formula_sum 'Na4 Mg4 H8 C12 O28'
_symmetry_space_group_name_H-M 'P 1'
_symmetry_Int_Tables_number 1
_cell_length_a 5.914
_cell_length_b 15.830
_cell_length_c 7.329
_cell_angle_alpha 90.00
_cell_angle_beta 102.59
_cell_angle_gamma 90.00
loop_
_symmetry_equiv_pos_as_xyz
'x,y,z'
loop_
_atom_site_label
_atom_site_type_symbol
_atom_site_fract_x
_atom_site_fract_y
_atom_site_fract_z
Na1 Na 0.031 0.179 0.203
Na2 Na 0.031 0.321 0.703
Na3 Na 0.969 0.679 0.297
Na4 Na 0.969 0.821 0.797
Mg1 Mg 0.223 0.102 0.782
Mg2 Mg 0.223 0.398 0.282
Mg3 Mg 0.777 0.602 0.718
Mg4 Mg 0.777 0.898 0.218
H1 H 0.326 0.030 0.123
H2 H 0.326 0.470 0.623
H3 H 0.449 0.122 0.135
H4 H 0.449 0.378 0.635
H5 H 0.551 0.622 0.365
H6 H 0.551 0.878 0.865
H7 H 0.674 0.530 0.377
H8 H 0.674 0.970 0.877
C1 C 0.003 0.536 0.072
C2 C 0.003 0.964 0.572
C3 C 0.304 0.649 0.716
C4 C 0.304 0.851 0.216
C5 C 0.452 0.731 0.749
C6 C 0.452 0.769 0.249
C7 C 0.548 0.231 0.751
C8 C 0.548 0.269 0.251
C9 C 0.696 0.149 0.784
C10 C 0.696 0.351 0.284
C11 C 0.997 0.036 0.428
C12 C 0.997 0.464 0.928
O1 O 0.086 0.658 0.687
O2 O 0.086 0.842 0.187
O3 O 0.099 0.104 0.488
O4 O 0.099 0.396 0.988
O5 O 0.109 0.521 0.240
O6 O 0.109 0.979 0.740
O7 O 0.309 0.088 0.073
O8 O 0.309 0.412 0.573
O9 O 0.337 0.223 0.763
O10 O 0.337 0.277 0.263
O11 O 0.357 0.702 0.287
O12 O 0.357 0.798 0.787
O13 O 0.416 0.580 0.718
O14 O 0.416 0.920 0.218
O15 O 0.584 0.080 0.782
O16 O 0.584 0.420 0.282
O17 O 0.643 0.202 0.213
O18 O 0.643 0.298 0.713
O19 O 0.663 0.723 0.737
O20 O 0.663 0.777 0.237
O21 O 0.691 0.588 0.427
O22 O 0.691 0.912 0.927
O23 O 0.891 0.021 0.260
O24 O 0.891 0.479 0.760
O25 O 0.901 0.604 0.012
O26 O 0.901 0.896 0.512
O27 O 0.914 0.158 0.813
O28 O 0.914 0.342 0.313
```

---

Simulated X-ray powder pattern
Compound: K2NbAgS4
Radiation: copper Kα
Structure: a GGA-PBE-relaxed structure
Peak positions follow from Bragg's law for the DFT cell and can differ from measured ones.

Most intense lines, 10° ≤ 2θ ≤ 80°, in order of falling intensity:
| Position (°2θ) | intensity |
| --- | --- |
| 15.18 | 100 |
| 15.34 | 64 |
| 26.64 | 52 |
| 41.11 | 39 |
| 38.17 | 35 |
| 27.37 | 33 |
| 32.82 | 29 |
| 36.42 | 24 |
| 46.70 | 18 |
| 30.64 | 17 |

Structure:
```
data_K2NbAgS4
_chemical_formula_sum 'K4 Nb2 Ag2 S8'
_symmetry_space_group_name_H-M 'P 1'
_symmetry_Int_Tables_number 1
_cell_length_a 13.386
_cell_length_b 11.932
_cell_length_c 7.389
_cell_angle_alpha 84.21
_cell_angle_beta 62.48
_cell_angle_gamma 33.31
loop_
_symmetry_equiv_pos_as_xyz
'x,y,z'
loop_
_atom_site_label
_atom_site_type_symbol
_atom_site_fract_x
_atom_site_fract_y
_atom_site_fract_z
K1 K 0.055 0.055 0.695
K2 K 0.305 0.305 0.945
K3 K 0.695 0.695 0.055
K4 K 0.945 0.945 0.305
Nb1 Nb 0.125 0.125 0.125
Nb2 Nb 0.875 0.875 0.875
Ag1 Ag 0.375 0.375 0.375
Ag2 Ag 0.625 0.625 0.625
S1 S 0.071 0.295 0.384
S2 S 0.250 0.616 0.705
S3 S 0.295 0.071 0.750
S4 S 0.384 0.750 0.071
S5 S 0.616 0.250 0.929
S6 S 0.705 0.929 0.250
S7 S 0.750 0.384 0.295
S8 S 0.929 0.705 0.616
```

---

Simulated X-ray powder pattern
Compound: Ni15Mo17P12
Radiation: copper Kα
Structure: a GGA-PBE-relaxed structure
Peak positions follow from Bragg's law for the DFT cell and can differ from measured ones.

Most intense lines, 10° ≤ 2θ ≤ 80°, in order of falling intensity:
| Position (°2θ) | intensity |
| --- | --- |
| 41.43 | 100 |
| 41.53 | 97 |
| 47.93 | 41 |
| 48.20 | 39 |
| 48.69 | 35 |
| 39.24 | 33 |
| 39.11 | 24 |
| 70.75 | 23 |
| 42.05 | 20 |
| 39.73 | 19 |

Structure:
```
data_Ni15Mo17P12
_chemical_formula_sum 'Ni15 Mo17 P12'
_symmetry_space_group_name_H-M 'P 1'
_symmetry_Int_Tables_number 1
_cell_length_a 7.038
_cell_length_b 7.058
_cell_length_c 13.335
_cell_angle_alpha 98.52
_cell_angle_beta 92.95
_cell_angle_gamma 119.70
loop_
_symmetry_equiv_pos_as_xyz
'x,y,z'
loop_
_atom_site_label
_atom_site_type_symbol
_atom_site_fract_x
_atom_site_fract_y
_atom_site_fract_z
Ni1 Ni 0.000 0.000 0.000
Ni2 Ni 0.219 0.331 0.751
Ni3 Ni 0.220 0.833 0.251
Ni4 Ni 0.356 0.204 0.584
Ni5 Ni 0.356 0.704 0.085
Ni6 Ni 0.365 0.033 0.749
Ni7 Ni 0.365 0.534 0.249
Ni8 Ni 0.499 0.751 0.751
Ni9 Ni 0.501 0.249 0.249
Ni10 Ni 0.635 0.466 0.751
Ni11 Ni 0.635 0.967 0.251
Ni12 Ni 0.644 0.296 0.915
Ni13 Ni 0.644 0.796 0.416
Ni14 Ni 0.780 0.167 0.749
Ni15 Ni 0.781 0.669 0.249
Mo1 Mo 0.000 0.500 0.500
Mo2 Mo 0.058 0.087 0.214
Mo3 Mo 0.058 0.585 0.722
Mo4 Mo 0.075 0.384 0.925
Mo5 Mo 0.076 0.891 0.424
Mo6 Mo 0.297 0.869 0.921
Mo7 Mo 0.301 0.366 0.419
Mo8 Mo 0.432 0.352 0.071
Mo9 Mo 0.441 0.858 0.572
Mo10 Mo 0.559 0.142 0.428
Mo11 Mo 0.568 0.648 0.929
Mo12 Mo 0.699 0.634 0.581
Mo13 Mo 0.703 0.131 0.079
Mo14 Mo 0.924 0.109 0.576
Mo15 Mo 0.925 0.616 0.075
Mo16 Mo 0.942 0.415 0.278
Mo17 Mo 0.942 0.913 0.786
P1 P 0.097 0.381 0.115
P2 P 0.097 0.882 0.618
P3 P 0.292 0.983 0.107
P4 P 0.298 0.485 0.611
P5 P 0.299 0.216 0.886
P6 P 0.299 0.716 0.384
P7 P 0.701 0.284 0.616
P8 P 0.701 0.784 0.114
P9 P 0.702 0.515 0.389
P10 P 0.708 0.017 0.893
P11 P 0.903 0.118 0.382
P12 P 0.903 0.619 0.885
```

---

Simulated X-ray powder pattern
Compound: LiAg3F8
Radiation: copper Kα
Structure: a GGA-PBE-relaxed structure
Peak positions follow from Bragg's law for the DFT cell and can differ from measured ones.

Most intense lines, 10° ≤ 2θ ≤ 80°, in order of falling intensity:
| Position (°2θ) | intensity |
| --- | --- |
| 27.84 | 100 |
| 28.81 | 93 |
| 33.28 | 34 |
| 47.78 | 30 |
| 18.65 | 27 |
| 46.75 | 27 |
| 18.26 | 22 |
| 31.91 | 20 |
| 45.52 | 20 |
| 53.84 | 20 |

Structure:
```
data_LiAg3F8
_chemical_formula_sum 'Li2 Ag6 F16'
_symmetry_space_group_name_H-M 'P 1'
_symmetry_Int_Tables_number 1
_cell_length_a 5.389
_cell_length_b 6.899
_cell_length_c 9.969
_cell_angle_alpha 77.01
_cell_angle_beta 74.42
_cell_angle_gamma 67.03
loop_
_symmetry_equiv_pos_as_xyz
'x,y,z'
loop_
_atom_site_label
_atom_site_type_symbol
_atom_site_fract_x
_atom_site_fract_y
_atom_site_fract_z
Li1 Li 0.000 0.000 0.000
Li2 Li 0.065 0.501 0.499
Ag1 Ag 0.256 0.381 0.138
Ag2 Ag 0.286 0.881 0.638
Ag3 Ag 0.531 0.251 0.749
Ag4 Ag 0.531 0.751 0.249
Ag5 Ag 0.775 0.621 0.861
Ag6 Ag 0.805 0.120 0.361
F1 F 0.001 0.648 0.659
F2 F 0.061 0.853 0.840
F3 F 0.149 0.390 0.951
F4 F 0.162 0.765 0.376
F5 F 0.301 0.040 0.163
F6 F 0.302 0.237 0.623
F7 F 0.308 0.353 0.340
F8 F 0.491 0.612 0.047
F9 F 0.505 0.961 0.835
F10 F 0.557 0.541 0.664
F11 F 0.571 0.891 0.452
F12 F 0.754 0.149 0.159
F13 F 0.760 0.265 0.876
F14 F 0.762 0.461 0.335
F15 F 0.902 0.736 0.123
F16 F 0.915 0.110 0.548
```

---

Simulated X-ray powder pattern
Compound: La2Al7Cu
Radiation: copper Kα
Structure: a GGA-PBE-relaxed structure
Peak positions follow from Bragg's law for the DFT cell and can differ from measured ones.

Most intense lines, 10° ≤ 2θ ≤ 80°, in order of falling intensity:
| Position (°2θ) | intensity |
| --- | --- |
| 33.52 | 100 |
| 32.01 | 92 |
| 41.75 | 48 |
| 22.08 | 47 |
| 29.19 | 45 |
| 53.56 | 42 |
| 46.34 | 41 |
| 16.13 | 31 |
| 64.12 | 30 |
| 70.99 | 22 |

Structure:
```
data_La2Al7Cu
_chemical_formula_sum 'La2 Al7 Cu1'
_symmetry_space_group_name_H-M 'P 1'
_symmetry_Int_Tables_number 1
_cell_length_a 4.327
_cell_length_b 4.327
_cell_length_c 10.989
_cell_angle_alpha 90.00
_cell_angle_beta 90.00
_cell_angle_gamma 90.00
loop_
_symmetry_equiv_pos_as_xyz
'x,y,z'
loop_
_atom_site_label
_atom_site_type_symbol
_atom_site_fract_x
_atom_site_fract_y
_atom_site_fract_z
La1 La 0.000 0.000 0.000
La2 La 0.500 0.500 0.499
Al1 Al 0.000 0.000 0.383
Al2 Al 0.000 0.000 0.616
Al3 Al 0.000 0.500 0.241
Al4 Al 0.000 0.500 0.755
Al5 Al 0.500 0.000 0.241
Al6 Al 0.500 0.000 0.755
Al7 Al 0.500 0.500 0.900
Cu1 Cu 0.500 0.500 0.122
```

---

Number 5 is which compound? NaMgH2C3O7